# CsHoNiF6
Calculated X-ray diffraction stick pattern, Cu Kα (weighted mean of Kα1 and Kα2). Input: a DFT-relaxed cell (PBE+U, Alexandria).

Principal peaks in the range 2θ = 15–90°, low angle first:
two_theta  I (rel.)
16.30  28.1
23.20  17.0
26.28  100.0
26.99  49.6
27.53  16.4
28.49  45.1
41.83  17.0
42.70  21.2
46.74  29.0
54.08  15.4

Structure:
```
CsHoNiF6
1.0
-3.8336 4.0335 5.4380
3.8336 -4.0335 5.4380
3.8336 4.0335 -5.4380
Cs Ho Ni F
2 2 2 12
Direct
0.3290 0.0790 0.2500 Cs
0.6710 0.9210 0.7500 Cs
0.0000 0.5000 0.5000 Ho
0.5000 0.5000 0.0000 Ho
0.0000 0.0000 0.5000 Ni
0.0000 0.5000 0.0000 Ni
0.0493 0.7993 0.2500 F
0.0503 0.4091 0.2188 F
0.0503 0.8315 0.6412 F
0.3097 0.1685 0.7188 F
0.3097 0.5909 0.1412 F
0.3323 0.5823 0.7500 F
0.6677 0.4177 0.2500 F
0.6903 0.4091 0.8588 F
0.6903 0.8315 0.2812 F
0.9497 0.1685 0.3588 F
0.9497 0.5909 0.7812 F
0.9507 0.2007 0.7500 F
```